[1]
Structure and theoretical powder diffraction line list of Cu3Mo2O9 (a GGA+U-relaxed structure; Cu Kα (λ = 1.5418 Å)).
Intensities are scaled so that the largest is 100.

Structural model:
```
Cu3Mo2O9
1.0
7.738 0.000 0.000
0.000 6.915 0.000
0.000 0.000 14.826
Cu Mo O
12 8 36
direct
0.000 0.000 0.000
0.000 0.500 0.000
0.164 0.250 0.143
0.204 0.750 0.436
0.296 0.250 0.936
0.336 0.750 0.643
0.500 0.000 0.500
0.500 0.500 0.500
0.664 0.250 0.357
0.704 0.750 0.064
0.796 0.250 0.564
0.836 0.750 0.857
0.158 0.250 0.387
0.235 0.250 0.669
0.265 0.750 0.169
0.342 0.750 0.887
0.658 0.250 0.113
0.735 0.250 0.831
0.765 0.750 0.331
0.842 0.750 0.613
0.031 0.250 0.611
0.067 0.750 0.596
0.087 0.250 0.017
0.139 0.535 0.137
0.139 0.965 0.137
0.196 0.250 0.785
0.208 0.250 0.270
0.246 0.534 0.940
0.246 0.966 0.940
0.254 0.034 0.440
0.254 0.466 0.440
0.292 0.750 0.770
0.304 0.750 0.285
0.361 0.035 0.637
0.361 0.465 0.637
0.413 0.750 0.517
0.433 0.250 0.096
0.469 0.750 0.111
0.531 0.250 0.889
0.567 0.750 0.904
0.587 0.250 0.483
0.639 0.535 0.363
0.639 0.965 0.363
0.696 0.250 0.715
0.708 0.250 0.230
0.746 0.534 0.560
0.746 0.966 0.560
0.754 0.034 0.060
0.754 0.466 0.060
0.792 0.750 0.730
0.804 0.750 0.215
0.861 0.035 0.863
0.861 0.465 0.863
0.913 0.750 0.983
0.933 0.250 0.404
0.969 0.750 0.389
```

Most intense lines, 2θ = 10–80°, by intensity:
| hkl | Position (°2θ) | I_rel |
| --- | --- | --- |
| 1 0 4 | 26.7 | 100 |
| 0 2 0 | 25.8 | 97 |
| 1 1 3 | 25.0 | 68 |
| 2 2 0 | 34.8 | 67 |
| 1 2 1 | 28.9 | 63 |
| 2 0 0 | 23.0 | 57 |
| 0 2 4 | 35.5 | 53 |
| 2 1 0 | 26.4 | 50 |
| 0 0 2 | 11.9 | 43 |
| 0 4 0 | 53.0 | 42 |

=====

[2]
Structure and theoretical powder diffraction line list of Cu3Mo2O9 (a GGA+U-relaxed structure; Cu Kα (λ = 1.5418 Å)).
Intensities are scaled so that the largest is 100.

Structural model:
```
Cu3Mo2O9
1.0
7.430 0.000 0.000
3.149 7.132 0.000
0.147 3.480 7.293
Cu Mo O
6 4 18
direct
0.081 0.148 0.473
0.128 0.793 0.911
0.292 0.890 0.264
0.708 0.110 0.736
0.872 0.207 0.089
0.919 0.852 0.527
0.206 0.283 0.815
0.435 0.334 0.291
0.565 0.666 0.709
0.794 0.717 0.185
0.031 0.010 0.335
0.112 0.539 0.797
0.117 0.290 0.607
0.135 0.110 0.019
0.253 0.604 0.168
0.308 0.169 0.344
0.383 0.752 0.841
0.436 0.697 0.507
0.470 0.186 0.840
0.530 0.814 0.160
0.564 0.303 0.493
0.617 0.248 0.159
0.692 0.831 0.656
0.747 0.396 0.832
0.865 0.890 0.981
0.883 0.710 0.393
0.888 0.461 0.203
0.969 0.990 0.665
```

Most intense lines, 2θ = 10–80°, by intensity:
| hkl | Position (°2θ) | I_rel |
| --- | --- | --- |
| 1 2 2 | 27.4 | 100 |
| 2 1 -1 | 27.7 | 74 |
| 1 2 1 | 23.2 | 48 |
| 1 0 2 | 29.8 | 46 |
| 1 2 -1 | 31.9 | 23 |
| -1 2 2 | 34.4 | 22 |
| 1 -1 1 | 29.7 | 21 |
| 1 -1 0 | 22.9 | 20 |
| 4 1 -2 | 54.8 | 19 |
| 0 1 2 | 22.3 | 17 |